# La2HoCoC2
Theoretical powder X-ray diffraction pattern, a wavelength of 1.5418 Å. Input: DFT lattice parameters and positions (GGA-PBE).
Peak positions follow from Bragg's law for the DFT cell and can differ from measured ones.

abc: 5.674 11.370 3.752
angles: 90.00 90.00 90.00
Fractional positions:
La1 0.027 0.202 0.000
La2 0.473 0.702 0.500
La3 0.527 0.298 0.500
La4 0.973 0.798 0.000
Ho1 0.000 0.500 0.500
Ho2 0.500 0.000 0.000
Co1 0.000 0.000 0.500
Co2 0.500 0.500 0.000
C1 0.238 0.601 0.000
C2 0.262 0.101 0.500
C3 0.738 0.899 0.500
C4 0.762 0.399 0.000

Peak list (6 most intense, 2θ from 10° to 80°, in order of rising 2θ)
- d 3.152, 2θ = 28.3°, rel. 35, hkl 1 3 0
- d 2.839, 2θ = 31.5°, rel. 42, hkl 2 0 0
- d 2.742, 2θ = 32.7°, rel. 100, hkl 1 2 1
- d 1.945, 2θ = 46.7°, rel. 16, hkl 0 5 1
- d 1.619, 2θ = 56.9°, rel. 21, hkl 3 2 1
- d 1.565, 2θ = 59.0°, rel. 14, hkl 2 0 2